Nb4Pd5Pb5: computed X-ray powder pattern (CuKα), based on the GGA-PBE geometry in OQMD.
Kinematic intensities with the Lorentz-polarization factor, no thermal factor.

Main lines, by intensity (2θ from 15° to 90°):
| index | d [Å] | 2θ/deg | intensity |
| --- | --- | --- | --- |
| 1 3 2 | 2.239 | 40.28 | 100.0 |
| 2 1 1 | 3.656 | 24.35 | 48.4 |
| 4 2 4 | 1.293 | 73.23 | 27.6 |
| 0 0 2 | 3.166 | 28.19 | 27.2 |
| 2 1 3 | 1.909 | 47.63 | 21.8 |
| 0 0 4 | 1.583 | 58.28 | 14.8 |
| 1 3 4 | 1.416 | 65.98 | 9.4 |
| 2 6 4 | 1.119 | 87.05 | 8.4 |

a b c (Å): 10.015 10.015 6.329
angles (deg): 90.00 90.00 90.00
Space group I-4 (No. 82)
Asymmetric unit:
Nb: 0.100 0.300 0.004 x8
Pd: 0.000 0.500 0.750 x2
Pd: 0.107 0.784 0.223 x8
Pb: 0.000 0.000 0.000 x2
Pb: 0.086 0.279 0.513 x8